The following is a calculated powder X-ray diffraction pattern of Zr5P2. It was derived from the PBE geometry in Alexandria, using Cu Ka.

Cell and atoms:
```
Zr5P2
1.0
7.151 -2.774 0.000
7.151 2.774 0.000
-0.672 0.000 6.964
Zr P
10 4
direct
0.125 0.875 0.750
0.126 0.326 0.307
0.281 0.534 0.073
0.326 0.126 0.807
0.466 0.719 0.427
0.534 0.281 0.573
0.674 0.874 0.193
0.719 0.466 0.927
0.874 0.674 0.693
0.875 0.125 0.250
0.070 0.715 0.424
0.285 0.930 0.076
0.715 0.070 0.924
0.930 0.285 0.576
```

Main lines, most intense first (15 to 90 degrees two-theta):
d [Å]	Rel. int.
2.577	100.0
2.533	68.4
2.450	62.8
2.146	61.7
2.618	57.3
2.376	56.2

=====

The following is a calculated powder X-ray diffraction pattern of Zr5P3. It was derived from the PBE geometry in Alexandria, using Cu Ka.

Cell and atoms:
```
Zr5P3
1.0
7.818 0.000 0.000
-3.909 6.770 0.000
0.000 0.000 5.521
Zr P
10 6
direct
0.000 0.259 0.250
0.000 0.741 0.750
0.259 0.000 0.250
0.259 0.259 0.750
0.333 0.667 0.000
0.333 0.667 0.500
0.667 0.333 0.000
0.667 0.333 0.500
0.741 0.000 0.750
0.741 0.741 0.250
0.000 0.384 0.750
0.000 0.616 0.250
0.384 0.000 0.750
0.384 0.384 0.250
0.616 0.000 0.250
0.616 0.616 0.750
```

Main lines, most intense first (15 to 90 degrees two-theta):
d [Å]	Rel. int.
2.256	100.0
2.322	52.7
2.558	45.8
1.495	24.4
3.190	22.5
3.385	18.6

=====

The following is a calculated powder X-ray diffraction pattern of Zr2P. It was derived from the PBE geometry in Alexandria, using Cu Ka.

Cell and atoms:
```
Zr2P
1.0
9.577 -14.813 0.000
9.577 14.813 0.000
0.000 0.000 3.631
Zr P
36 18
direct
0.000 0.500 0.500
0.019 0.359 0.000
0.038 0.801 0.500
0.052 0.948 0.000
0.116 0.116 0.500
0.154 0.586 0.000
0.169 0.335 0.500
0.192 0.808 0.000
0.199 0.962 0.500
0.250 0.250 0.000
0.278 0.722 0.500
0.289 0.532 0.500
0.335 0.169 0.500
0.359 0.019 0.000
0.393 0.393 0.500
0.414 0.846 0.000
0.442 0.558 0.000
0.468 0.711 0.500
0.500 0.000 0.500
0.532 0.289 0.500
0.558 0.442 0.000
0.586 0.154 0.000
0.607 0.607 0.500
0.641 0.981 0.000
0.665 0.831 0.500
0.711 0.468 0.500
0.722 0.278 0.500
0.750 0.750 0.000
0.801 0.038 0.500
0.808 0.192 0.000
0.831 0.665 0.500
0.846 0.414 0.000
0.884 0.884 0.500
0.948 0.052 0.000
0.962 0.199 0.500
0.981 0.641 0.000
0.081 0.218 0.000
0.108 0.679 0.500
0.127 0.461 0.500
0.218 0.081 0.000
0.292 0.419 0.000
0.321 0.892 0.500
0.344 0.656 0.000
0.419 0.292 0.000
0.461 0.127 0.500
0.539 0.873 0.500
0.581 0.708 0.000
0.656 0.344 0.000
0.679 0.108 0.500
0.708 0.581 0.000
0.782 0.919 0.000
0.873 0.539 0.500
0.892 0.321 0.500
0.919 0.782 0.000
```

Main lines, most intense first (15 to 90 degrees two-theta):
d [Å]	Rel. int.
2.397	100.0
2.498	92.4
2.279	78.6
2.593	67.8
2.418	59.3
1.815	49.1

=====

The following is a calculated powder X-ray diffraction pattern of Zr3P2. It was derived from the PBE geometry in Alexandria, using Cu Ka.

Cell and atoms:
```
Zr3P2
1.0
1.827 1.055 8.660
-1.827 1.055 8.660
0.000 -2.110 8.660
Zr P
3 2
direct
0.000 0.000 0.000
0.215 0.215 0.215
0.785 0.785 0.785
0.394 0.394 0.394
0.606 0.606 0.606
```

Main lines, most intense first (15 to 90 degrees two-theta):
d [Å]	Rel. int.
2.703	100.0
1.827	34.3
2.845	27.9
2.008	27.0
2.887	16.5
1.514	16.0

=====

The following is a calculated powder X-ray diffraction pattern of Pa6Pb. It was derived from the PBE geometry in Alexandria, using Cu Ka.

Cell and atoms:
```
Pa6Pb
1.0
-3.851 3.851 3.851
3.851 -3.851 3.851
3.851 3.851 -3.851
Pa Pb
6 1
direct
0.250 0.500 0.750
0.250 0.750 0.500
0.500 0.250 0.750
0.500 0.750 0.250
0.750 0.250 0.500
0.750 0.500 0.250
0.000 0.000 0.000
```

Main lines, most intense first (15 to 90 degrees two-theta):
d [Å]	Rel. int.
3.145	100.0
2.059	62.9
3.851	41.3
2.224	40.1
1.926	36.3
5.446	26.3

=====

The following is a calculated powder X-ray diffraction pattern of PaPb. It was derived from the PBE geometry in Alexandria, using Cu Ka.

Cell and atoms:
```
PaPb
1.0
3.825 0.000 0.000
0.000 3.825 0.000
0.000 0.000 3.825
Pa Pb
1 1
direct
0.000 0.000 0.000
0.500 0.500 0.500
```

Main lines, most intense first (15 to 90 degrees two-theta):
d [Å]	Rel. int.
2.705	100.0
1.562	39.5
1.913	18.7
1.210	17.5
1.353	12.4
1.104	4.6

=====

The following is a calculated powder X-ray diffraction pattern of PaPb5. It was derived from the PBE geometry in Alexandria, using Cu Ka.

Cell and atoms:
```
PaPb5
1.0
2.380 -7.916 0.000
2.380 7.916 0.000
0.000 0.000 4.717
Pa Pb
1 5
direct
0.000 0.000 0.000
0.169 0.831 0.500
0.345 0.655 0.000
0.500 0.500 0.500
0.655 0.345 0.000
0.831 0.169 0.500
```

Main lines, most intense first (15 to 90 degrees two-theta):
d [Å]	Rel. int.
2.829	100.0
2.639	20.7
2.380	15.9
2.359	15.5
1.558	15.2
1.447	14.4

=====

The following is a calculated powder X-ray diffraction pattern of PaPd8Pb2. It was derived from the PBE geometry in Alexandria, using Cu Ka.

Cell and atoms:
```
PaPd8Pb2
1.0
5.385 0.000 0.000
-0.515 5.446 0.000
-1.100 -1.050 6.901
Pa Pd Pb
1 8 2
direct
0.000 0.000 0.000
0.134 0.835 0.622
0.140 0.497 0.188
0.341 0.029 0.315
0.451 0.746 0.972
0.549 0.254 0.028
0.659 0.971 0.685
0.860 0.503 0.812
0.866 0.165 0.378
0.308 0.364 0.655
0.692 0.636 0.345
```

Main lines, most intense first (15 to 90 degrees two-theta):
d [Å]	Rel. int.
2.294	100.0
2.323	97.8
2.251	78.5
2.276	76.3
2.301	57.0
3.489	37.9

=====

The following is a calculated powder X-ray diffraction pattern of Pa2Pd2PbS6. It was derived from the PBE geometry in Alexandria, using Cu Ka.

Cell and atoms:
```
Pa2Pd2PbS6
1.0
6.991 0.000 0.000
3.290 6.200 0.000
3.464 2.003 6.209
Pa Pd Pb S
2 2 1 6
direct
0.169 0.166 0.498
0.831 0.834 0.502
0.063 0.702 0.858
0.937 0.298 0.142
0.500 0.500 0.500
0.040 0.426 0.741
0.218 0.938 0.264
0.411 0.798 0.737
0.589 0.202 0.263
0.782 0.062 0.736
0.960 0.574 0.259
```

Main lines, most intense first (15 to 90 degrees two-theta):
d [Å]	Rel. int.
3.042	100.0
3.056	94.6
2.316	86.0
3.105	66.8
3.500	60.1
3.137	59.9

=====

The following is a calculated powder X-ray diffraction pattern of PaPt2Pb. It was derived from the PBE geometry in Alexandria, using Cu Ka.

Cell and atoms:
```
PaPt2Pb
1.0
0.000 3.486 3.486
3.486 0.000 3.486
3.486 3.486 0.000
Pa Pt Pb
1 2 1
direct
0.000 0.000 0.000
0.250 0.250 0.250
0.750 0.750 0.750
0.500 0.500 0.500
```

Main lines, most intense first (15 to 90 degrees two-theta):
d [Å]	Rel. int.
2.465	100.0
1.423	37.2
1.743	18.0
1.102	17.5
1.232	11.8